No. 1
The following is a calculated powder XRD pattern of KZrP2Se8. It was derived from a structure optimized by DFT (PBE), using CuKα.
Kinematic intensities with the Lorentz-polarization factor, no thermal factor.

Top 10 peaks for 2θ from 15° to 90°, by intensity:
2θ/deg  I (rel.)
29.3  100
33.8  95
49.0  45
48.2  42
28.7  34
18.5  33
57.8  26
60.9  16
33.5  14
81.8  13

Crystal structure
```
KZrP2Se8
1.0
6.442 0.000 0.000
-3.221 5.579 0.000
0.000 0.000 9.327
K Zr P Se
1 1 2 8
Direct
0.000 0.000 0.000
0.000 0.000 0.500
0.333 0.667 0.732
0.667 0.333 0.268
0.014 0.663 0.334
0.333 0.667 0.966
0.337 0.351 0.334
0.351 0.014 0.666
0.649 0.986 0.334
0.663 0.649 0.666
0.667 0.333 0.034
0.986 0.337 0.666
```


No. 2
The following is a calculated powder XRD pattern of KSi2P. It was derived from a structure optimized by DFT (PBE), using CuKα.
Kinematic intensities with the Lorentz-polarization factor, no thermal factor.

Top 10 peaks for 2θ from 15° to 90°, by intensity:
2θ/deg  I (rel.)
36.8  100
36.6  92
28.8  43
66.0  32
52.7  30
60.0  26
89.2  21
83.9  20
54.7  16
25.9  14

Crystal structure
```
KSi2P
1.0
3.472 0.000 0.000
0.000 3.472 0.000
0.000 0.000 6.886
K Si P
1 2 1
Direct
0.000 0.000 0.000
0.000 0.000 0.486
0.500 0.500 0.661
0.500 0.500 0.338
```


No. 3
The following is a calculated powder XRD pattern of K6SiP2. It was derived from a structure optimized by DFT (PBE), using CuKα.
Kinematic intensities with the Lorentz-polarization factor, no thermal factor.

Top 10 peaks for 2θ from 15° to 90°, by intensity:
2θ/deg  I (rel.)
29.1  100
30.6  89
25.0  68
31.7  60
21.9  30
27.6  30
43.0  25
28.8  24
34.4  22
35.0  22

Crystal structure
```
K6SiP2
1.0
4.209 -8.808 0.000
4.209 8.808 0.000
0.000 0.000 10.433
K Si P
12 2 4
Direct
0.062 0.938 0.500
0.071 0.429 0.444
0.229 0.329 0.737
0.329 0.229 0.237
0.384 0.616 0.150
0.429 0.071 0.944
0.571 0.929 0.444
0.616 0.384 0.650
0.671 0.771 0.737
0.771 0.671 0.237
0.929 0.571 0.944
0.938 0.062 0.000
0.199 0.801 0.243
0.801 0.199 0.743
0.076 0.924 0.796
0.468 0.532 0.463
0.532 0.468 0.963
0.924 0.076 0.296
```


No. 4
The following is a calculated powder XRD pattern of KTe3P3. It was derived from a structure optimized by DFT (PBE), using CuKα.
Kinematic intensities with the Lorentz-polarization factor, no thermal factor.

Top 10 peaks for 2θ from 15° to 90°, by intensity:
2θ/deg  I (rel.)
25.9  100
31.3  41
27.5  40
27.9  40
17.9  37
41.1  32
50.2  29
37.5  27
42.4  25
49.6  22

Crystal structure
```
KTe3P3
1.0
9.895 0.000 0.000
-4.947 8.569 0.000
0.000 0.000 4.796
K Te P
2 6 6
Direct
0.333 0.667 0.250
0.667 0.333 0.750
0.062 0.702 0.750
0.298 0.360 0.750
0.360 0.062 0.250
0.640 0.938 0.750
0.702 0.640 0.250
0.938 0.298 0.250
0.011 0.801 0.250
0.199 0.210 0.250
0.210 0.011 0.750
0.790 0.989 0.250
0.801 0.790 0.750
0.989 0.199 0.750
```